Record 1
Calculated powder X-ray diffraction pattern
Compound: Ac3Ga2Ni
Radiation: Cu Kα X-rays
Structure: a DFT-relaxed cell (GGA-PBE, Alexandria)
Lines closer than 0.1° are merged.

Main lines, in order of rising 2θ (5 to 70 degrees two-theta):
- 25.18 deg, intensity 57.0
- 25.71 deg, intensity 76.1
- 28.44 deg, intensity 56.3
- 28.63 deg, intensity 40.2
- 29.20 deg, intensity 100.0
- 30.23 deg, intensity 42.0
- 32.59 deg, intensity 66.6
- 37.72 deg, intensity 38.6
- 41.38 deg, intensity 59.6
- 46.47 deg, intensity 36.8

Structure:
Lattice parameters (Å, degrees): 12.700 4.363 12.865 90.00 90.00 90.00
Fractional positions:
Ac  0.052  0.250  0.131
Ac  0.117  0.750  0.552
Ac  0.223  0.250  0.798
Ac  0.277  0.750  0.298
Ac  0.383  0.250  0.052
Ac  0.448  0.750  0.631
Ac  0.552  0.250  0.369
Ac  0.617  0.750  0.948
Ac  0.723  0.250  0.702
Ac  0.777  0.750  0.202
Ac  0.883  0.250  0.448
Ac  0.948  0.750  0.869
Ga  0.026  0.750  0.318
Ga  0.195  0.750  0.991
Ga  0.305  0.250  0.491
Ga  0.474  0.250  0.818
Ga  0.526  0.750  0.182
Ga  0.695  0.750  0.509
Ga  0.805  0.250  0.009
Ga  0.974  0.250  0.682
Ni  0.130  0.250  0.375
Ni  0.370  0.750  0.875
Ni  0.630  0.250  0.125
Ni  0.870  0.750  0.625


Record 2
Calculated powder X-ray diffraction pattern
Compound: AcSeS4
Radiation: Cu Kα X-rays
Structure: a DFT-relaxed cell (GGA-PBE, Alexandria)
Lines closer than 0.1° are merged.

Main lines, in order of rising 2θ (5 to 70 degrees two-theta):
- 18.14 deg, intensity 27.3
- 21.01 deg, intensity 35.1
- 21.26 deg, intensity 39.9
- 22.34 deg, intensity 100.0
- 30.90 deg, intensity 44.3
- 32.29 deg, intensity 36.8
- 32.57 deg, intensity 75.5
- 36.73 deg, intensity 39.8
- 37.12 deg, intensity 25.9
- 39.95 deg, intensity 45.6

Structure:
Lattice parameters (Å, degrees): 5.565 5.565 11.823 100.55 100.55 52.25
Fractional positions:
Ac  0.000  0.500  0.000
Ac  0.500  0.000  0.500
Se  0.060  0.940  0.750
Se  0.940  0.060  0.250
S  0.185  0.313  0.254
S  0.216  0.691  0.566
S  0.309  0.784  0.934
S  0.313  0.185  0.754
S  0.687  0.815  0.246
S  0.691  0.216  0.066
S  0.784  0.309  0.434
S  0.815  0.687  0.746


Record 3
Calculated powder X-ray diffraction pattern
Compound: VSiGe
Radiation: Cu Kα X-rays
Structure: a DFT-relaxed cell (GGA-PBE, Alexandria)
Lines closer than 0.1° are merged.

Main lines, in order of rising 2θ (5 to 70 degrees two-theta):
- 25.88 deg, intensity 23.6
- 35.38 deg, intensity 10.9
- 38.41 deg, intensity 15.0
- 40.93 deg, intensity 100.0
- 41.69 deg, intensity 35.5
- 44.65 deg, intensity 6.3
- 47.85 deg, intensity 62.3
- 57.97 deg, intensity 8.5
- 62.17 deg, intensity 4.0
- 62.73 deg, intensity 4.5

Structure:
Lattice parameters (Å, degrees): 4.687 4.687 6.499 90.00 90.00 120.00
Fractional positions:
V  0.169  0.338  0.333
V  0.169  0.831  0.667
V  0.662  0.831  0.000
Si  0.502  0.004  0.333
Si  0.502  0.498  0.667
Si  0.996  0.498  0.000
Ge  0.337  0.169  0.000
Ge  0.831  0.169  0.667
Ge  0.831  0.663  0.333


Record 4
Calculated powder X-ray diffraction pattern
Compound: La8Nd3Cd2
Radiation: Cu Kα X-rays
Structure: a DFT-relaxed cell (GGA-PBE, Alexandria)
Lines closer than 0.1° are merged.

Main lines, in order of rising 2θ (5 to 70 degrees two-theta):
- 29.21 deg, intensity 65.8
- 29.86 deg, intensity 29.8
- 30.05 deg, intensity 33.3
- 30.44 deg, intensity 100.0
- 30.68 deg, intensity 79.1
- 30.88 deg, intensity 92.4
- 31.91 deg, intensity 65.3
- 32.06 deg, intensity 83.7
- 47.19 deg, intensity 25.7
- 57.19 deg, intensity 27.0

Structure:
Lattice parameters (Å, degrees): 6.565 7.122 10.160 107.51 94.77 90.08
Fractional positions:
La  0.033  0.381  0.154
La  0.121  0.103  0.806
La  0.370  0.816  0.352
La  0.443  0.680  0.681
La  0.557  0.320  0.319
La  0.630  0.184  0.648
La  0.879  0.897  0.194
La  0.967  0.619  0.846
Nd  0.091  0.265  0.504
Nd  0.500  0.500  0.000
Nd  0.909  0.735  0.496
Cd  0.326  0.948  0.062
Cd  0.674  0.052  0.938


Record 5
Calculated powder X-ray diffraction pattern
Compound: Dy4AlAg2
Radiation: Cu Kα X-rays
Structure: a DFT-relaxed cell (GGA-PBE, Alexandria)
Lines closer than 0.1° are merged.

Main lines, in order of rising 2θ (5 to 70 degrees two-theta):
- 21.41 deg, intensity 15.3
- 24.88 deg, intensity 45.0
- 35.24 deg, intensity 100.0
- 35.70 deg, intensity 91.1
- 43.62 deg, intensity 10.5
- 51.04 deg, intensity 32.6
- 57.27 deg, intensity 9.7
- 63.24 deg, intensity 18.0
- 63.54 deg, intensity 33.5
- 64.44 deg, intensity 13.4

Structure:
Lattice parameters (Å, degrees): 8.676 8.676 8.676 34.14 34.14 34.14
Fractional positions:
Dy  0.119  0.119  0.119
Dy  0.372  0.372  0.372
Dy  0.628  0.628  0.628
Dy  0.881  0.881  0.881
Al  0.500  0.500  0.500
Ag  0.245  0.245  0.245
Ag  0.755  0.755  0.755


Record 6
Calculated powder X-ray diffraction pattern
Compound: YSiIr4
Radiation: Cu Kα X-rays
Structure: a DFT-relaxed cell (GGA-PBE, Alexandria)
Lines closer than 0.1° are merged.

Main lines, in order of rising 2θ (5 to 70 degrees two-theta):
- 20.62 deg, intensity 71.9
- 23.86 deg, intensity 2.1
- 33.99 deg, intensity 5.2
- 40.09 deg, intensity 100.0
- 41.95 deg, intensity 78.7
- 48.84 deg, intensity 27.2
- 53.55 deg, intensity 18.4
- 55.06 deg, intensity 0.6
- 60.83 deg, intensity 1.9
- 64.96 deg, intensity 32.5

Structure:
Lattice parameters (Å, degrees): 5.275 5.275 5.275 60.00 60.00 60.00
Fractional positions:
Y  0.000  0.000  0.000
Si  0.250  0.250  0.250
Ir  0.127  0.624  0.624
Ir  0.624  0.127  0.624
Ir  0.624  0.624  0.127
Ir  0.624  0.624  0.624


Record 7
Calculated powder X-ray diffraction pattern
Compound: La3Tb12Pr
Radiation: Cu Kα X-rays
Structure: a DFT-relaxed cell (GGA-PBE, Alexandria)
Lines closer than 0.1° are merged.

Main lines, in order of rising 2θ (5 to 70 degrees two-theta):
- 30.35 deg, intensity 100.0
- 35.18 deg, intensity 50.7
- 50.61 deg, intensity 36.2
- 60.16 deg, intensity 43.0
- 63.13 deg, intensity 12.4

Structure:
Lattice parameters (Å, degrees): 5.103 5.103 20.396 90.00 90.00 90.00
Fractional positions:
La  0.000  0.000  0.000
La  0.000  0.000  0.250
La  0.000  0.000  0.750
Tb  0.000  0.500  0.125
Tb  0.000  0.500  0.376
Tb  0.000  0.500  0.624
Tb  0.000  0.500  0.875
Tb  0.500  0.000  0.125
Tb  0.500  0.000  0.376
Tb  0.500  0.000  0.624
Tb  0.500  0.000  0.875
Tb  0.500  0.500  0.000
Tb  0.500  0.500  0.251
Tb  0.500  0.500  0.500
Tb  0.500  0.500  0.749
Pr  0.000  0.000  0.500


Record 8
Calculated powder X-ray diffraction pattern
Compound: Pm3SmBi2
Radiation: Cu Kα X-rays
Structure: a DFT-relaxed cell (GGA-PBE, Alexandria)
Lines closer than 0.1° are merged.

Main lines, in order of rising 2θ (5 to 70 degrees two-theta):
- 27.20 deg, intensity 25.4
- 29.01 deg, intensity 79.0
- 30.00 deg, intensity 37.9
- 33.91 deg, intensity 100.0
- 35.83 deg, intensity 29.8
- 38.85 deg, intensity 60.1
- 49.85 deg, intensity 37.5
- 53.87 deg, intensity 19.0
- 56.11 deg, intensity 20.9
- 67.20 deg, intensity 28.3

Structure:
Lattice parameters (Å, degrees): 4.636 4.636 8.937 90.00 90.00 90.00
Fractional positions:
Pm  0.000  0.000  0.000
Pm  0.000  0.500  0.648
Pm  0.500  0.000  0.352
Sm  0.500  0.500  0.000
Bi  0.000  0.500  0.281
Bi  0.500  0.000  0.719


Record 9
Calculated powder X-ray diffraction pattern
Compound: Pm2TmMg5
Radiation: Cu Kα X-rays
Structure: a DFT-relaxed cell (GGA-PBE, Alexandria)
Lines closer than 0.1° are merged.

Main lines, in order of rising 2θ (5 to 70 degrees two-theta):
- 17.90 deg, intensity 21.5
- 22.71 deg, intensity 27.9
- 24.09 deg, intensity 70.9
- 33.34 deg, intensity 100.0
- 34.33 deg, intensity 48.0
- 41.55 deg, intensity 23.4
- 49.33 deg, intensity 18.3
- 52.92 deg, intensity 12.7
- 58.94 deg, intensity 17.3
- 60.85 deg, intensity 34.7

Structure:
Lattice parameters (Å, degrees): 5.225 5.225 15.665 90.00 90.00 90.00
Fractional positions:
Pm  0.000  0.000  0.243
Pm  0.000  0.000  0.757
Pm  0.500  0.500  0.257
Pm  0.500  0.500  0.743
Tm  0.000  0.000  0.500
Tm  0.500  0.500  0.000
Mg  0.000  0.000  0.000
Mg  0.000  0.500  0.114
Mg  0.000  0.500  0.386
Mg  0.000  0.500  0.614
Mg  0.000  0.500  0.886
Mg  0.500  0.000  0.114
Mg  0.500  0.000  0.386
Mg  0.500  0.000  0.614
Mg  0.500  0.000  0.886
Mg  0.500  0.500  0.500


Record 10
Calculated powder X-ray diffraction pattern
Compound: La3SnC
Radiation: Cu Kα X-rays
Structure: a DFT-relaxed cell (GGA-PBE, Alexandria)
Lines closer than 0.1° are merged.

Main lines, in order of rising 2θ (5 to 70 degrees two-theta):
- 29.11 deg, intensity 36.8
- 29.31 deg, intensity 100.0
- 30.09 deg, intensity 35.3
- 35.76 deg, intensity 23.7
- 36.26 deg, intensity 20.3
- 47.42 deg, intensity 20.3
- 47.81 deg, intensity 9.9
- 52.95 deg, intensity 20.4
- 53.78 deg, intensity 11.2
- 58.43 deg, intensity 8.8

Structure:
Lattice parameters (Å, degrees): 7.778 7.778 7.778 125.68 125.68 80.42
Fractional positions:
La  0.196  0.328  0.525
La  0.245  0.245  0.000
La  0.328  0.804  0.132
La  0.672  0.196  0.868
La  0.755  0.755  0.000
La  0.804  0.672  0.475
Sn  0.250  0.750  0.500
Sn  0.750  0.250  0.500
C  0.440  0.440  0.000
C  0.560  0.560  0.000